K8PS2: simulated powder diffraction line list (Cu Kα X-rays), based on a structure optimized by DFT (PBE).
Peak positions follow from Bragg's law for the DFT cell and can differ from measured ones.

Crystal structure
abc: 11.4969 11.4969 11.4969
angles: 157.05 132.04 53.81
Positions (direct):
K 0.1293 0.1293 0.0000
K 0.1311 0.3167 0.8145
K 0.2539 0.0000 0.2539
K 0.4978 0.6833 0.8145
K 0.5022 0.3167 0.1855
K 0.7461 0.0000 0.7461
K 0.8689 0.6833 0.1855
K 0.8707 0.8707 0.0000
P 0.0000 0.5000 0.5000
S 0.2494 0.7494 0.5000
S 0.7506 0.2506 0.5000

Most intense lines, 5 to 70 degrees two-theta, in order of rising 2θ:
- 2θ 8.6, I 31
- 2θ 10.4, I 32
- 2θ 23.4, I 27
- 2θ 26.1, I 17
- 2θ 27.8, I 57
- 2θ 29.0, I 17
- 2θ 30.3, I 100
- 2θ 31.6, I 17
- 2θ 32.5, I 20
- 2θ 39.4, I 26

TaGaTe3: simulated powder diffraction line list (Cu Kα X-rays), based on a structure optimized by DFT (PBE).
Peak positions follow from Bragg's law for the DFT cell and can differ from measured ones.

Crystal structure
abc: 7.3441 7.3441 12.2745
angles: 92.48 92.48 34.22
Positions (direct):
Ta 0.0835 0.0835 0.2891
Ta 0.9165 0.9165 0.7109
Ga 0.3649 0.3649 0.0946
Ga 0.6351 0.6351 0.9054
Te 0.1006 0.1006 0.7350
Te 0.1502 0.1502 0.0953
Te 0.3651 0.3651 0.5911
Te 0.6349 0.6349 0.4089
Te 0.8498 0.8498 0.9047
Te 0.8994 0.8994 0.2650

Most intense lines, 5 to 70 degrees two-theta, in order of rising 2θ:
- 2θ 14.4, I 22
- 2θ 14.8, I 27
- 2θ 18.8, I 35
- 2θ 21.5, I 29
- 2θ 25.4, I 59
- 2θ 26.2, I 100
- 2θ 36.3, I 38
- 2θ 41.6, I 61
- 2θ 41.8, I 26
- 2θ 49.5, I 22

Li3In3Bi2: simulated powder diffraction line list (Cu Kα X-rays), based on a structure optimized by DFT (PBE).
Peak positions follow from Bragg's law for the DFT cell and can differ from measured ones.

Crystal structure
abc: 5.8545 5.8545 5.8545
angles: 89.97 89.97 89.97
Positions (direct):
Li 0.0000 0.7364 0.2636
Li 0.2636 0.0000 0.7364
Li 0.7364 0.2636 0.0000
In 0.2560 0.5000 0.7440
In 0.5000 0.7440 0.2560
In 0.7440 0.2560 0.5000
Bi 0.2313 0.2313 0.2313
Bi 0.7687 0.7687 0.7687

Most intense lines, 5 to 70 degrees two-theta, in order of rising 2θ:
- 2θ 21.5, I 71
- 2θ 26.4, I 22
- 2θ 30.5, I 40
- 2θ 34.3, I 32
- 2θ 37.6, I 100
- 2θ 49.2, I 16
- 2θ 56.7, I 13
- 2θ 59.0, I 50
- 2θ 63.6, I 10
- 2θ 65.8, I 9

NaCd9Au3: simulated powder diffraction line list (Cu Kα X-rays), based on a structure optimized by DFT (PBE).
Peak positions follow from Bragg's law for the DFT cell and can differ from measured ones.

Crystal structure
abc: 7.6481 7.6481 7.6436
angles: 97.48 97.48 136.75
Positions (direct):
Na 0.0000 0.0000 0.0000
Cd 0.0118 0.6589 0.6558
Cd 0.2831 0.4969 0.7896
Cd 0.3411 0.9882 0.3442
Cd 0.4969 0.2831 0.7896
Cd 0.5000 0.5000 0.5000
Cd 0.5031 0.7169 0.2104
Cd 0.6589 0.0118 0.6558
Cd 0.7169 0.5031 0.2104
Cd 0.9882 0.3411 0.3442
Au 0.0000 0.0000 0.5000
Au 0.0000 0.5000 0.0000
Au 0.5000 0.0000 0.0000

Most intense lines, 5 to 70 degrees two-theta, in order of rising 2θ:
- 2θ 17.6, I 84
- 2θ 35.6, I 100
- 2θ 35.9, I 35
- 2θ 36.3, I 45
- 2θ 36.7, I 49
- 2θ 39.9, I 52
- 2θ 40.1, I 58
- 2θ 40.4, I 57
- 2θ 40.9, I 62
- 2θ 41.1, I 30

Tb2Pd3Au3: simulated powder diffraction line list (Cu Kα X-rays), based on a structure optimized by DFT (PBE).
Peak positions follow from Bragg's law for the DFT cell and can differ from measured ones.

Crystal structure
abc: 5.3993 5.3993 5.3993
angles: 86.82 86.82 86.82
Positions (direct):
Tb 0.2452 0.2452 0.2452
Tb 0.7548 0.7548 0.7548
Pd 0.0000 0.2366 0.7634
Pd 0.2366 0.7634 0.0000
Pd 0.7634 0.0000 0.2366
Au 0.2612 0.7388 0.5000
Au 0.5000 0.2612 0.7388
Au 0.7388 0.5000 0.2612

Most intense lines, 5 to 70 degrees two-theta, in order of rising 2θ:
- 2θ 33.3, I 63
- 2θ 36.5, I 83
- 2θ 38.2, I 100
- 2θ 39.2, I 47
- 2θ 41.4, I 87
- 2θ 42.2, I 20
- 2θ 60.5, I 27
- 2θ 61.8, I 20
- 2θ 66.7, I 25
- 2θ 69.9, I 28

Cs3RbHgO: simulated powder diffraction line list (Cu Kα X-rays), based on a structure optimized by DFT (PBE).
Peak positions follow from Bragg's law for the DFT cell and can differ from measured ones.

Crystal structure
abc: 13.5119 13.5119 7.4623
angles: 92.43 92.43 147.70
Positions (direct):
Cs 0.1390 0.8610 0.7500
Cs 0.1963 0.2555 0.9801
Cs 0.2555 0.1963 0.4801
Cs 0.7445 0.8037 0.5199
Cs 0.8037 0.7445 0.0199
Cs 0.8610 0.1390 0.2500
Rb 0.3054 0.6946 0.7500
Rb 0.6946 0.3054 0.2500
Hg 0.2529 0.7471 0.2500
Hg 0.7471 0.2529 0.7500
O 0.0341 0.9659 0.7500
O 0.9659 0.0341 0.2500

Most intense lines, 5 to 70 degrees two-theta, in order of rising 2θ:
- 2θ 13.6, I 52
- 2θ 20.9, I 67
- 2θ 23.2, I 100
- 2θ 24.9, I 76
- 2θ 25.1, I 80
- 2θ 30.3, I 46
- 2θ 31.5, I 40
- 2θ 34.9, I 20
- 2θ 36.9, I 27
- 2θ 44.1, I 32

Pr4As2PBr: simulated powder diffraction line list (Cu Kα X-rays), based on a structure optimized by DFT (PBE).
Peak positions follow from Bragg's law for the DFT cell and can differ from measured ones.

Crystal structure
abc: 7.3810 4.2723 7.4859
angles: 90.00 109.20 90.00
Positions (direct):
Pr 0.2354 0.0000 0.2279
Pr 0.2481 0.5000 0.7636
Pr 0.7519 0.5000 0.2364
Pr 0.7646 0.0000 0.7721
As 0.0000 0.0000 0.5000
As 0.0000 0.5000 0.0000
P 0.5000 0.0000 0.0000
Br 0.5000 0.5000 0.5000

Most intense lines, 5 to 70 degrees two-theta, in order of rising 2θ:
- 2θ 25.5, I 18
- 2θ 29.5, I 100
- 2θ 41.9, I 36
- 2θ 42.4, I 37
- 2θ 51.7, I 6
- 2θ 52.4, I 13
- 2θ 52.5, I 6
- 2θ 61.1, I 12
- 2θ 69.0, I 15
- 2θ 69.7, I 11

Dy3Al2Au7: simulated powder diffraction line list (Cu Kα X-rays), based on a structure optimized by DFT (PBE).
Peak positions follow from Bragg's law for the DFT cell and can differ from measured ones.

Crystal structure
abc: 14.3374 14.3374 14.3374
angles: 163.03 163.03 24.09
Positions (direct):
Dy 0.0000 0.0000 0.0000
Dy 0.1746 0.1746 0.0000
Dy 0.8254 0.8254 0.0000
Al 0.3691 0.3691 0.0000
Al 0.6309 0.6309 0.0000
Au 0.0799 0.5799 0.5000
Au 0.2798 0.2798 0.0000
Au 0.4201 0.9201 0.5000
Au 0.5000 0.5000 0.0000
Au 0.5799 0.0799 0.5000
Au 0.7202 0.7202 0.0000
Au 0.9201 0.4201 0.5000

Most intense lines, 5 to 70 degrees two-theta, in order of rising 2θ:
- 2θ 6.3, I 35
- 2θ 30.5, I 35
- 2θ 32.5, I 52
- 2θ 35.6, I 100
- 2θ 35.8, I 33
- 2θ 39.6, I 22
- 2θ 42.7, I 67
- 2θ 56.9, I 18
- 2θ 62.0, I 23
- 2θ 67.8, I 26

TlOsRu4: simulated powder diffraction line list (Cu Kα X-rays), based on a structure optimized by DFT (PBE).
Peak positions follow from Bragg's law for the DFT cell and can differ from measured ones.

Crystal structure
abc: 5.1291 5.1291 5.1291
angles: 60.00 60.00 60.00
Positions (direct):
Tl 0.0000 0.0000 0.0000
Os 0.7500 0.7500 0.7500
Ru 0.3753 0.3753 0.3753
Ru 0.3753 0.3753 0.8742
Ru 0.3753 0.8742 0.3753
Ru 0.8742 0.3753 0.3753

Most intense lines, 5 to 70 degrees two-theta, in order of rising 2θ:
- 2θ 21.2, I 3
- 2θ 35.0, I 51
- 2θ 41.3, I 100
- 2θ 43.2, I 22
- 2θ 55.2, I 1
- 2θ 62.8, I 19
- 2θ 67.0, I 32

V3Re3B4: simulated powder diffraction line list (Cu Kα X-rays), based on a structure optimized by DFT (PBE).
Peak positions follow from Bragg's law for the DFT cell and can differ from measured ones.

Crystal structure
abc: 3.0334 5.8685 5.8685
angles: 88.84 90.00 90.00
Positions (direct):
V 0.0000 0.0000 0.0000
V 0.5000 0.3245 0.8290
V 0.5000 0.8290 0.3245
Re 0.0000 0.1514 0.4979
Re 0.0000 0.4979 0.1514
Re 0.0000 0.6558 0.6558
B 0.5000 0.2031 0.2031
B 0.5000 0.4459 0.4459
B 0.5000 0.7181 0.9469
B 0.5000 0.9469 0.7181

Most intense lines, 5 to 70 degrees two-theta, in order of rising 2θ:
- 2θ 15.1, I 48
- 2θ 29.4, I 70
- 2θ 30.5, I 39
- 2θ 33.9, I 65
- 2θ 34.5, I 96
- 2θ 36.6, I 44
- 2θ 42.9, I 96
- 2θ 45.5, I 71
- 2θ 45.9, I 100
- 2θ 48.8, I 30

V3Fe3N: simulated powder diffraction line list (Cu Kα X-rays), based on a structure optimized by DFT (PBE).
Peak positions follow from Bragg's law for the DFT cell and can differ from measured ones.

Crystal structure
abc: 7.5465 7.5465 7.5465
angles: 60.00 60.00 60.00
Positions (direct):
V 0.0682 0.0682 0.6818
V 0.0682 0.6818 0.0682
V 0.0682 0.6818 0.6818
V 0.3182 0.3182 0.9318
V 0.3182 0.9318 0.3182
V 0.3182 0.9318 0.9318
V 0.6818 0.0682 0.0682
V 0.6818 0.0682 0.6818
V 0.6818 0.6818 0.0682
V 0.9318 0.3182 0.3182
V 0.9318 0.3182 0.9318
V 0.9318 0.9318 0.3182
Fe 0.0000 0.5000 0.5000
Fe 0.2948 0.2948 0.2948
Fe 0.2948 0.2948 0.6157
Fe 0.2948 0.6157 0.2948
Fe 0.3843 0.7052 0.7052
Fe 0.5000 0.0000 0.5000
Fe 0.5000 0.5000 0.0000
Fe 0.5000 0.5000 0.5000
Fe 0.6157 0.2948 0.2948
Fe 0.7052 0.3843 0.7052
Fe 0.7052 0.7052 0.3843
Fe 0.7052 0.7052 0.7052
N 0.0000 0.0000 0.0000
N 0.0000 0.0000 0.5000
N 0.0000 0.5000 0.0000
N 0.5000 0.0000 0.0000

Most intense lines, 5 to 70 degrees two-theta, in order of rising 2θ:
- 2θ 14.4, I 20
- 2θ 36.7, I 6
- 2θ 41.4, I 29
- 2θ 44.1, I 100
- 2θ 48.2, I 32
- 2θ 50.6, I 3
- 2θ 51.4, I 14
- 2θ 56.5, I 3
- 2θ 57.3, I 10
- 2θ 62.1, I 3

AcLa2Pr2Tm: simulated powder diffraction line list (Cu Kα X-rays), based on a structure optimized by DFT (PBE).
Peak positions follow from Bragg's law for the DFT cell and can differ from measured ones.

Crystal structure
abc: 7.3495 5.8725 10.2093
angles: 90.00 90.00 90.00
Positions (direct):
Ac 0.0000 0.0000 0.0000
Ac 0.5000 0.0000 0.0000
La 0.0000 0.5000 0.5000
La 0.2500 0.0000 0.3339
La 0.5000 0.5000 0.5000
La 0.7500 0.0000 0.6661
Pr 0.2500 0.0000 0.6638
Pr 0.2500 0.5000 0.1701
Pr 0.7500 0.0000 0.3362
Pr 0.7500 0.5000 0.8299
Tm 0.2500 0.5000 0.8332
Tm 0.7500 0.5000 0.1668

Most intense lines, 5 to 70 degrees two-theta, in order of rising 2θ:
- 2θ 30.0, I 98
- 2θ 30.4, I 100
- 2θ 39.2, I 6
- 2θ 43.2, I 37
- 2θ 49.6, I 9
- 2θ 53.7, I 26
- 2θ 53.8, I 20
- 2θ 54.0, I 13
- 2θ 59.3, I 30
- 2θ 63.2, I 8

Dy7Ho2Th2: simulated powder diffraction line list (Cu Kα X-rays), based on a structure optimized by DFT (PBE).
Peak positions follow from Bragg's law for the DFT cell and can differ from measured ones.

Crystal structure
abc: 7.9566 7.9566 6.0923
angles: 105.98 105.98 91.60
Positions (direct):
Dy 0.0000 0.0000 0.0000
Dy 0.0632 0.5882 0.8276
Dy 0.2359 0.2359 0.5821
Dy 0.4118 0.9368 0.1724
Dy 0.5882 0.0632 0.8276
Dy 0.7641 0.7641 0.4179
Dy 0.9368 0.4118 0.1724
Ho 0.2174 0.7826 0.5000
Ho 0.7826 0.2174 0.5000
Th 0.4181 0.4181 0.1938
Th 0.5819 0.5819 0.8062

Most intense lines, 5 to 70 degrees two-theta, in order of rising 2θ:
- 2θ 25.9, I 26
- 2θ 30.6, I 32
- 2θ 31.4, I 49
- 2θ 32.1, I 100
- 2θ 32.3, I 31
- 2θ 33.7, I 45
- 2θ 34.3, I 29
- 2θ 45.7, I 20
- 2θ 50.1, I 14
- 2θ 56.3, I 15